For Tb6PrEr8, a crystal structure in Alexandria, relaxed with GGA-PBE gives the computed X-ray diffraction stick pattern in this record (Cu Kα).
Lines closer than 0.1° are merged.

Main lines, in order of rising 2θ (2θ from 10° to 80°):
2θ/deg, d [Å], I_rel
30.65, 2.917, 18.7
31.62, 2.830, 100.0
32.64, 2.744, 29.3
35.12, 2.555, 11.7
37.00, 2.429, 14.1
53.46, 1.714, 11.9
55.66, 1.651, 10.0
60.65, 1.527, 11.8

Structure:
Unit cell a=8.591 b=8.591 c=8.591 alpha=63.20 beta=63.20 gamma=63.20
Sites, in units of the cell vectors:
1 Tb 0.038 0.729 0.609
2 Tb 0.271 0.391 0.962
3 Tb 0.391 0.962 0.271
4 Tb 0.609 0.038 0.729
5 Tb 0.729 0.609 0.038
6 Tb 0.962 0.271 0.391
7 Pr 0.500 0.500 0.500
8 Er 0.076 0.076 0.076
9 Er 0.220 0.243 0.611
10 Er 0.243 0.611 0.220
11 Er 0.389 0.780 0.757
12 Er 0.611 0.220 0.243
13 Er 0.757 0.389 0.780
14 Er 0.780 0.757 0.389
15 Er 0.924 0.924 0.924


For Tb2Pr12Er, a crystal structure in Alexandria, relaxed with GGA-PBE gives the computed X-ray diffraction stick pattern in this record (Cu Kα).
Lines closer than 0.1° are merged.

Main lines, in order of rising 2θ (2θ from 10° to 80°):
2θ/deg, d [Å], I_rel
28.36, 3.147, 28.6
29.08, 3.071, 45.8
29.80, 2.998, 65.1
30.47, 2.934, 66.7
30.86, 2.898, 19.4
32.25, 2.776, 100.0
36.10, 2.488, 34.9
55.28, 1.662, 20.2

Structure:
Unit cell a=6.900 b=6.900 c=25.230 alpha=90.00 beta=90.00 gamma=116.53
Sites, in units of the cell vectors:
1 Tb 0.250 0.750 0.233
2 Tb 0.250 0.750 0.771
3 Tb 0.750 0.250 0.229
4 Tb 0.750 0.250 0.767
5 Pr 0.002 0.502 0.629
6 Pr 0.002 0.998 0.427
7 Pr 0.020 0.520 0.085
8 Pr 0.024 0.976 0.940
9 Pr 0.250 0.250 0.176
10 Pr 0.250 0.250 0.302
11 Pr 0.250 0.250 0.698
12 Pr 0.250 0.250 0.824
13 Pr 0.476 0.524 0.940
14 Pr 0.480 0.980 0.085
15 Pr 0.498 0.502 0.427
16 Pr 0.498 0.998 0.629
17 Pr 0.502 0.002 0.371
18 Pr 0.502 0.498 0.573
19 Pr 0.520 0.020 0.915
20 Pr 0.524 0.476 0.060
21 Pr 0.750 0.750 0.176
22 Pr 0.750 0.750 0.302
23 Pr 0.750 0.750 0.698
24 Pr 0.750 0.750 0.824
25 Pr 0.976 0.024 0.060
26 Pr 0.980 0.480 0.915
27 Pr 0.998 0.002 0.573
28 Pr 0.998 0.498 0.371
29 Er 0.250 0.750 0.501
30 Er 0.750 0.250 0.499


For Tb6PrEr2, a crystal structure in Alexandria, relaxed with GGA-PBE gives the computed X-ray diffraction stick pattern in this record (Cu Kα).
Lines closer than 0.1° are merged.

Main lines, in order of rising 2θ (2θ from 10° to 80°):
2θ/deg, d [Å], I_rel
30.71, 2.911, 100.0
35.58, 2.523, 33.9
35.68, 2.516, 16.8
51.22, 1.783, 24.1
51.31, 1.781, 12.0
60.91, 1.521, 21.5
61.04, 1.518, 14.2
63.94, 1.456, 9.3

Structure:
Unit cell a=9.430 b=9.430 c=8.724 alpha=90.15 beta=90.15 gamma=21.82
Sites, in units of the cell vectors:
1 Tb 0.111 0.111 0.165
2 Tb 0.222 0.222 0.835
3 Tb 0.332 0.332 0.500
4 Tb 0.668 0.668 0.500
5 Tb 0.778 0.778 0.165
6 Tb 0.889 0.889 0.835
7 Pr 0.000 0.000 0.500
8 Er 0.444 0.444 0.164
9 Er 0.556 0.556 0.836


For Tb2PrEr12, a crystal structure in Alexandria, relaxed with GGA-PBE gives the computed X-ray diffraction stick pattern in this record (Cu Kα).
Lines closer than 0.1° are merged.

Main lines, in order of rising 2θ (2θ from 10° to 80°):
2θ/deg, d [Å], I_rel
30.54, 2.927, 100.0
31.44, 2.845, 41.8
32.35, 2.767, 67.3
32.54, 2.752, 37.4
32.76, 2.734, 68.9
33.83, 2.650, 30.0
46.54, 1.951, 27.7
60.38, 1.533, 21.8

Structure:
Unit cell a=6.566 b=6.566 c=24.205 alpha=92.21 beta=92.21 gamma=114.90
Sites, in units of the cell vectors:
1 Tb 0.068 0.068 0.273
2 Tb 0.430 0.430 0.727
3 Tb 0.570 0.570 0.273
4 Tb 0.932 0.932 0.727
5 Pr 0.250 0.250 0.000
6 Pr 0.750 0.750 0.000
7 Er 0.051 0.551 0.203
8 Er 0.085 0.582 0.332
9 Er 0.139 0.636 0.555
10 Er 0.141 0.141 0.574
11 Er 0.214 0.214 0.861
12 Er 0.230 0.730 0.924
13 Er 0.270 0.770 0.076
14 Er 0.286 0.286 0.139
15 Er 0.356 0.356 0.428
16 Er 0.364 0.861 0.445
17 Er 0.418 0.915 0.668
18 Er 0.449 0.949 0.797
19 Er 0.551 0.051 0.203
20 Er 0.582 0.085 0.332
21 Er 0.636 0.139 0.555
22 Er 0.644 0.644 0.572
23 Er 0.714 0.714 0.861
24 Er 0.730 0.230 0.924
25 Er 0.770 0.270 0.076
26 Er 0.786 0.786 0.139
27 Er 0.859 0.859 0.426
28 Er 0.861 0.364 0.445
29 Er 0.915 0.418 0.668
30 Er 0.949 0.449 0.797


For TbPr4Er5, a crystal structure in Alexandria, relaxed with GGA-PBE gives the computed X-ray diffraction stick pattern in this record (Cu Kα).
Lines closer than 0.1° are merged.

Main lines, in order of rising 2θ (2θ from 10° to 80°):
2θ/deg, d [Å], I_rel
29.14, 3.064, 100.0
30.02, 2.976, 13.4
34.47, 2.602, 21.1
35.52, 2.527, 43.1
51.11, 1.787, 13.0
52.77, 1.735, 16.2
59.05, 1.564, 13.1
59.92, 1.544, 17.6

Structure:
Unit cell a=8.145 b=8.145 c=8.145 alpha=97.67 beta=97.67 gamma=137.14
Sites, in units of the cell vectors:
1 Tb 0.000 0.000 0.000
2 Pr 0.248 0.571 0.323
3 Pr 0.248 0.925 0.677
4 Pr 0.571 0.248 0.323
5 Pr 0.925 0.248 0.677
6 Er 0.478 0.478 0.000
7 Er 0.549 0.549 0.623
8 Er 0.549 0.926 0.000
9 Er 0.926 0.549 0.000
10 Er 0.926 0.926 0.377


For Tb4Pr5Er2, a crystal structure in Alexandria, relaxed with GGA-PBE gives the computed X-ray diffraction stick pattern in this record (Cu Kα).
Lines closer than 0.1° are merged.

Main lines, in order of rising 2θ (2θ from 10° to 80°):
2θ/deg, d [Å], I_rel
24.78, 3.593, 22.5
28.84, 3.096, 44.9
29.65, 3.013, 43.4
30.95, 2.889, 100.0
31.40, 2.849, 83.4
31.80, 2.814, 45.9
35.85, 2.505, 21.2
50.14, 1.819, 22.0

Structure:
Unit cell a=12.140 b=12.140 c=9.375 alpha=112.13 beta=112.13 gamma=17.24
Sites, in units of the cell vectors:
1 Tb 0.044 0.044 0.202
2 Tb 0.315 0.315 0.676
3 Tb 0.685 0.685 0.324
4 Tb 0.956 0.956 0.798
5 Pr 0.114 0.114 0.926
6 Pr 0.135 0.135 0.569
7 Pr 0.500 0.500 0.500
8 Pr 0.865 0.865 0.431
9 Pr 0.886 0.886 0.074
10 Er 0.266 0.266 0.154
11 Er 0.734 0.734 0.846